Record 1
Computed X-ray diffraction stick pattern of K2RbCdAu for Cu Ka, from a GGA-PBE-relaxed structure.
Lines closer than 0.1° are merged.

Most intense lines, 10° ≤ 2θ ≤ 80°, low angle first:
4.859 Å, 18.26 deg, intensity 100; 3.455 Å, 25.79 deg, intensity 26; 3.307 Å, 26.96 deg, intensity 27; 2.931 Å, 30.50 deg, intensity 47; 2.522 Å, 35.60 deg, intensity 55; 2.151 Å, 42.01 deg, intensity 25

a b c (Å): 11.586 11.586 4.797
angles (deg): 101.74 101.74 24.82
Atoms (fractional coordinates):
K1 0.000 0.000 0.000
K2 0.618 0.618 0.618
Rb1 0.273 0.273 0.276
Cd1 0.394 0.394 0.895
Au1 0.463 0.463 0.463

Record 2
Computed X-ray diffraction stick pattern of K4Rb2CdAu2 for Cu Ka, from a GGA-PBE-relaxed structure.
Lines closer than 0.1° are merged.

Most intense lines, 10° ≤ 2θ ≤ 80°, low angle first:
7.720 Å, 11.46 deg, intensity 35; 6.073 Å, 14.59 deg, intensity 100; 5.857 Å, 15.13 deg, intensity 81; 3.255 Å, 27.40 deg, intensity 47; 2.573 Å, 34.86 deg, intensity 43; 2.206 Å, 40.91 deg, intensity 37

a b c (Å): 6.375 7.956 10.159
angles (deg): 96.84 102.91 100.28
Atoms (fractional coordinates):
K1 0.054 0.254 0.462
K2 0.152 0.768 0.166
K3 0.848 0.232 0.834
K4 0.946 0.746 0.538
Rb1 0.491 0.328 0.193
Rb2 0.509 0.672 0.807
Cd1 0.500 0.000 0.500
Au1 0.399 0.635 0.455
Au2 0.601 0.365 0.545

Record 3
Computed X-ray diffraction stick pattern of K3Rb2Cd2Au4 for Cu Ka, from a GGA-PBE-relaxed structure.
Lines closer than 0.1° are merged.

Most intense lines, 10° ≤ 2θ ≤ 80°, low angle first:
6.845 Å, 12.93 deg, intensity 30; 4.564 Å, 19.45 deg, intensity 34; 2.960 Å, 30.20 deg, intensity 100; 2.749 Å, 32.57 deg, intensity 83; 1.944 Å, 46.72 deg, intensity 30; 1.625 Å, 56.64 deg, intensity 34

a b c (Å): 14.232 14.232 14.232
angles (deg): 157.72 157.72 31.71
Atoms (fractional coordinates):
K1 0.000 0.000 0.000
K2 0.145 0.145 0.000
K3 0.855 0.855 0.000
Rb1 0.318 0.318 0.000
Rb2 0.682 0.682 0.000
Cd1 0.446 0.446 0.000
Cd2 0.554 0.554 0.000
Au1 0.082 0.582 0.500
Au2 0.418 0.918 0.500
Au3 0.582 0.082 0.500
Au4 0.918 0.418 0.500

Record 4
Computed X-ray diffraction stick pattern of K2Tl3Cd4Au for Cu Ka, from a GGA-PBE-relaxed structure.
Lines closer than 0.1° are merged.

Most intense lines, 10° ≤ 2θ ≤ 80°, low angle first:
6.338 Å, 13.97 deg, intensity 46; 4.576 Å, 19.40 deg, intensity 63; 3.043 Å, 29.35 deg, intensity 97; 2.453 Å, 36.63 deg, intensity 77; 2.340 Å, 38.47 deg, intensity 100; 1.394 Å, 67.17 deg, intensity 39

a b c (Å): 4.907 4.907 12.677
angles (deg): 90.00 90.00 90.00
Atoms (fractional coordinates):
K1 0.000 0.500 0.241
K2 0.500 0.000 0.759
Tl1 0.000 0.000 0.000
Tl2 0.000 0.500 0.640
Tl3 0.500 0.000 0.360
Cd1 0.000 0.000 0.500
Cd2 0.000 0.500 0.873
Cd3 0.500 0.000 0.127
Cd4 0.500 0.500 0.500
Au1 0.500 0.500 0.000

Record 5
Computed X-ray diffraction stick pattern of KZnCd2Au4 for Cu Ka, from a GGA-PBE-relaxed structure.
Lines closer than 0.1° are merged.

Most intense lines, 10° ≤ 2θ ≤ 80°, low angle first:
2.907 Å, 30.76 deg, intensity 34; 2.710 Å, 33.06 deg, intensity 38; 2.356 Å, 38.20 deg, intensity 100; 2.214 Å, 40.76 deg, intensity 64; 1.613 Å, 57.09 deg, intensity 24; 1.331 Å, 70.78 deg, intensity 25

a b c (Å): 10.038 10.038 10.038
angles (deg): 27.15 27.15 27.15
Atoms (fractional coordinates):
K1 0.000 0.000 0.000
Zn1 0.500 0.500 0.500
Cd1 0.238 0.238 0.238
Cd2 0.762 0.762 0.762
Au1 0.136 0.136 0.136
Au2 0.410 0.410 0.410
Au3 0.590 0.590 0.590
Au4 0.864 0.864 0.864

Record 6
Computed X-ray diffraction stick pattern of KZnCdAu2 for Cu Ka, from a GGA-PBE-relaxed structure.
Lines closer than 0.1° are merged.

Most intense lines, 10° ≤ 2θ ≤ 80°, low angle first:
4.244 Å, 20.93 deg, intensity 100; 3.001 Å, 29.77 deg, intensity 51; 2.829 Å, 31.62 deg, intensity 43; 2.269 Å, 39.73 deg, intensity 58; 2.192 Å, 41.19 deg, intensity 77; 2.122 Å, 42.60 deg, intensity 41

a b c (Å): 6.806 6.806 6.806
angles (deg): 141.06 141.06 56.24
Atoms (fractional coordinates):
K1 0.000 0.000 0.000
Zn1 0.750 0.250 0.500
Cd1 0.250 0.750 0.500
Au1 0.385 0.385 0.000
Au2 0.615 0.615 0.000